Record 1
Starting from a cell relaxed with PBE, the powder diffraction line list of KLiMg14O15 was simulated for Cu Kα, 1.54184 Å.
Neutral-atom scattering factors, no anomalous dispersion.

Crystal structure
```
KLiMg14O15
1.0
4.411 0.000 0.000
0.000 8.603 0.000
0.000 0.000 8.631
K Li Mg O
1 1 14 15
Direct
0.000 0.000 0.000 K
0.000 0.500 0.016 Li
0.000 0.000 0.492 Mg
0.000 0.229 0.747 Mg
0.000 0.254 0.233 Mg
0.000 0.500 0.472 Mg
0.000 0.746 0.233 Mg
0.000 0.771 0.747 Mg
0.500 0.000 0.242 Mg
0.500 0.000 0.743 Mg
0.500 0.252 0.494 Mg
0.500 0.258 0.987 Mg
0.500 0.500 0.225 Mg
0.500 0.500 0.754 Mg
0.500 0.742 0.987 Mg
0.500 0.748 0.494 Mg
0.000 0.000 0.270 O
0.000 0.000 0.718 O
0.000 0.265 0.505 O
0.000 0.281 0.976 O
0.000 0.500 0.246 O
0.000 0.719 0.976 O
0.000 0.735 0.505 O
0.500 0.000 0.495 O
0.500 0.000 0.983 O
0.500 0.253 0.242 O
0.500 0.258 0.740 O
0.500 0.500 0.508 O
0.500 0.500 0.985 O
0.500 0.742 0.740 O
0.500 0.747 0.242 O
```

Most intense lines, 2θ from 10° to 80°, in order of rising 2θ:
2θ 10.28, 8.605 Å, intensity 15.0; 2θ 22.65, 3.926 Å, intensity 8.9; 2θ 35.82, 2.507 Å, intensity 35.8; 2θ 40.92, 2.205 Å, intensity 100.0; 2θ 41.86, 2.158 Å, intensity 86.4; 2θ 42.01, 2.151 Å, intensity 86.0; 2θ 59.98, 1.542 Å, intensity 51.0; 2θ 60.09, 1.540 Å, intensity 51.0; 2θ 60.81, 1.523 Å, intensity 45.6; 2θ 75.91, 1.253 Å, intensity 43.1

***

Record 2
Starting from a cell relaxed with PBE, the powder diffraction line list of KLiMg6O7 was simulated for Cu Kα, 1.54184 Å.
Neutral-atom scattering factors, no anomalous dispersion.

Crystal structure
```
KLiMg6O7
1.0
4.157 0.000 0.000
0.000 4.157 0.000
0.000 0.000 11.043
K Li Mg O
1 1 6 7
Direct
0.000 0.000 0.000 K
0.000 0.000 0.510 Li
0.000 0.500 0.323 Mg
0.000 0.500 0.710 Mg
0.500 0.000 0.323 Mg
0.500 0.000 0.710 Mg
0.500 0.500 0.125 Mg
0.500 0.500 0.535 Mg
0.000 0.000 0.335 O
0.000 0.000 0.745 O
0.000 0.500 0.141 O
0.000 0.500 0.515 O
0.500 0.000 0.141 O
0.500 0.000 0.515 O
0.500 0.500 0.719 O
```

Most intense lines, 2θ from 10° to 80°, in order of rising 2θ:
2θ 16.05, 5.522 Å, intensity 26.2; 2θ 24.18, 3.681 Å, intensity 18.8; 2θ 26.85, 3.321 Å, intensity 27.7; 2θ 31.50, 2.840 Å, intensity 25.7; 2θ 32.48, 2.757 Å, intensity 40.9; 2θ 34.57, 2.595 Å, intensity 25.4; 2θ 40.86, 2.209 Å, intensity 32.9; 2θ 43.55, 2.078 Å, intensity 100.0; 2θ 61.24, 1.514 Å, intensity 33.0; 2θ 63.28, 1.470 Å, intensity 27.7

***

Record 3
Starting from a cell relaxed with PBE, the powder diffraction line list of KLiMg14O15 was simulated for Cu Kα, 1.54184 Å.
Neutral-atom scattering factors, no anomalous dispersion.

Crystal structure
```
KLiMg14O15
1.0
4.402 0.000 0.000
0.000 8.588 0.000
0.000 0.000 8.715
K Li Mg O
1 1 14 15
Direct
0.000 0.000 0.000 K
0.000 0.500 0.465 Li
0.000 0.000 0.490 Mg
0.000 0.229 0.731 Mg
0.000 0.251 0.257 Mg
0.000 0.500 0.012 Mg
0.000 0.749 0.257 Mg
0.000 0.771 0.731 Mg
0.500 0.000 0.245 Mg
0.500 0.000 0.736 Mg
0.500 0.253 0.979 Mg
0.500 0.256 0.492 Mg
0.500 0.500 0.248 Mg
0.500 0.500 0.735 Mg
0.500 0.744 0.492 Mg
0.500 0.747 0.979 Mg
0.000 0.000 0.268 O
0.000 0.000 0.716 O
0.000 0.256 0.496 O
0.000 0.283 0.956 O
0.000 0.500 0.240 O
0.000 0.717 0.956 O
0.000 0.744 0.496 O
0.500 0.000 0.491 O
0.500 0.000 0.971 O
0.500 0.251 0.236 O
0.500 0.259 0.733 O
0.500 0.500 0.498 O
0.500 0.500 0.980 O
0.500 0.741 0.733 O
0.500 0.749 0.236 O
```

Most intense lines, 2θ from 10° to 80°, in order of rising 2θ:
2θ 10.30, 8.588 Å, intensity 16.2; 2θ 22.68, 3.921 Å, intensity 10.9; 2θ 35.75, 2.512 Å, intensity 37.8; 2θ 41.01, 2.201 Å, intensity 100.0; 2θ 41.44, 2.179 Å, intensity 86.3; 2θ 42.09, 2.147 Å, intensity 86.4; 2θ 59.72, 1.548 Å, intensity 50.1; 2θ 60.21, 1.537 Å, intensity 51.2; 2θ 60.55, 1.529 Å, intensity 45.3; 2θ 75.74, 1.256 Å, intensity 41.9

***

Record 4
Starting from a cell relaxed with PBE, the powder diffraction line list of KLiMg6O7 was simulated for Cu Kα, 1.54184 Å.
Neutral-atom scattering factors, no anomalous dispersion.

Crystal structure
```
KLiMg6O7
1.0
4.581 0.000 0.000
0.000 4.581 0.000
0.000 0.000 8.197
K Li Mg O
1 1 6 7
Direct
0.000 0.000 0.000 K
0.000 0.000 0.494 Li
0.000 0.500 0.227 Mg
0.000 0.500 0.723 Mg
0.500 0.000 0.227 Mg
0.500 0.000 0.723 Mg
0.500 0.500 0.476 Mg
0.500 0.500 0.973 Mg
0.000 0.000 0.713 O
0.000 0.500 0.462 O
0.000 0.500 0.988 O
0.500 0.000 0.462 O
0.500 0.000 0.988 O
0.500 0.500 0.225 O
0.500 0.500 0.724 O
```

Most intense lines, 2θ from 10° to 80°, in order of rising 2θ:
2θ 10.79, 8.197 Å, intensity 14.1; 2θ 22.23, 3.999 Å, intensity 12.7; 2θ 29.66, 3.012 Å, intensity 7.1; 2θ 35.32, 2.541 Å, intensity 19.6; 2θ 39.34, 2.290 Å, intensity 100.0; 2θ 44.19, 2.049 Å, intensity 32.5; 2θ 56.85, 1.619 Å, intensity 29.1; 2θ 60.63, 1.527 Å, intensity 43.1; 2θ 68.73, 1.366 Å, intensity 8.5; 2θ 74.71, 1.271 Å, intensity 21.0